# 1
For RbGdS2, a structure optimized by DFT (GGA-PBE) gives the theoretical powder X-ray diffraction pattern in this record (Cu Kα).

Most intense lines, 2θ = 10–90°, by intensity:
d_spacing  I/Imax
3.041  100.0
3.419  45.1
2.244  36.3
2.067  34.0
7.681  27.9
3.841  23.6
1.820  18.7
1.709  17.6
1.317  14.8
1.938  14.4

Structure:
```
data_RbGdS2
_chemical_formula_sum 'Rb1 Gd1 S2'
_cell_length_a 8.0434
_cell_length_b 8.0434
_cell_length_c 8.0434
_cell_angle_alpha 29.78
_cell_angle_beta 29.78
_cell_angle_gamma 29.78
_space_group_name_H-M_alt 'P 1'
_space_group_IT_number 1
loop_
_space_group_symop_operation_xyz
'x,y,z'
loop_
_atom_site_label
_atom_site_fract_x
_atom_site_fract_y
_atom_site_fract_z
Rb1 0.0000 0.0000 0.0000
Gd1 0.5000 0.5000 0.5000
S1 0.2309 0.2309 0.2309
S2 0.7691 0.7691 0.7691
```

# 2
For Ca3Mg, a structure optimized by DFT (GGA-PBE) gives the theoretical powder X-ray diffraction pattern in this record (Cu Kα).

Most intense lines, 2θ = 10–90°, by intensity:
d_spacing  I/Imax
3.036  100.0
2.630  49.5
1.586  37.1
1.859  32.5
1.207  13.7
1.176  12.5
1.518  10.5
1.315  4.7
5.259  3.8
3.719  3.1

Structure:
```
data_Ca3Mg
_chemical_formula_sum 'Ca3 Mg1'
_cell_length_a 5.2592
_cell_length_b 5.2592
_cell_length_c 5.2592
_cell_angle_alpha 90.00
_cell_angle_beta 90.00
_cell_angle_gamma 90.00
_space_group_name_H-M_alt 'P 1'
_space_group_IT_number 1
loop_
_space_group_symop_operation_xyz
'x,y,z'
loop_
_atom_site_label
_atom_site_fract_x
_atom_site_fract_y
_atom_site_fract_z
Ca1 0.0000 0.0000 0.5000
Ca2 0.0000 0.5000 0.0000
Ca3 0.5000 0.0000 0.0000
Mg1 0.5000 0.5000 0.5000
```

# 3
For AgW3Br7, a structure optimized by DFT (GGA-PBE) gives the theoretical powder X-ray diffraction pattern in this record (Cu Kα).

Most intense lines, 2θ = 10–90°, by intensity:
d_spacing  I/Imax
7.724  100.0
8.619  24.5
5.880  20.4
8.041  16.1
2.364  11.9
2.029  9.0
1.866  7.8
2.226  6.1
2.043  5.9
2.070  5.2

Structure:
```
data_AgW3Br7
_chemical_formula_sum 'Ag4 W12 Br28'
_cell_length_a 9.9873
_cell_length_b 16.0826
_cell_length_c 10.2413
_cell_angle_alpha 90.00
_cell_angle_beta 120.34
_cell_angle_gamma 90.00
_space_group_name_H-M_alt 'P 1'
_space_group_IT_number 1
loop_
_space_group_symop_operation_xyz
'x,y,z'
loop_
_atom_site_label
_atom_site_fract_x
_atom_site_fract_y
_atom_site_fract_z
Ag1 0.0815 0.2125 0.1675
Ag2 0.0815 0.2875 0.6675
Ag3 0.9185 0.7125 0.3325
Ag4 0.9185 0.7875 0.8325
W1 0.3542 0.0596 0.8295
W2 0.3542 0.4404 0.3295
W3 0.3680 0.5928 0.4349
W4 0.3680 0.9072 0.9349
W5 0.4067 0.0379 0.1085
W6 0.4067 0.4621 0.6085
W7 0.5933 0.5379 0.3915
W8 0.5933 0.9621 0.8915
W9 0.6320 0.0928 0.0651
W10 0.6320 0.4072 0.5651
W11 0.6458 0.5596 0.6705
W12 0.6458 0.9404 0.1705
Br1 0.1289 0.0046 0.8726
Br2 0.1289 0.4954 0.3726
Br3 0.1471 0.1415 0.5861
Br4 0.1471 0.3585 0.0861
Br5 0.1895 0.7273 0.3457
Br6 0.1895 0.7727 0.8457
Br7 0.2778 0.0871 0.2678
Br8 0.2778 0.4129 0.7678
Br9 0.3153 0.5710 0.1560
Br10 0.3153 0.9290 0.6560
Br11 0.3920 0.1902 0.0039
Br12 0.3920 0.3098 0.5039
Br13 0.4209 0.6142 0.7145
Br14 0.4209 0.8858 0.2145
Br15 0.5791 0.1142 0.7855
Br16 0.5791 0.3858 0.2855
Br17 0.6080 0.6902 0.4961
Br18 0.6080 0.8098 0.9961
Br19 0.6847 0.0710 0.3440
Br20 0.6847 0.4290 0.8440
Br21 0.7222 0.5871 0.2322
Br22 0.7222 0.9129 0.7322
Br23 0.8105 0.2273 0.1543
Br24 0.8105 0.2727 0.6543
Br25 0.8529 0.6415 0.9139
Br26 0.8529 0.8585 0.4139
Br27 0.8711 0.5046 0.6274
Br28 0.8711 0.9954 0.1274
```

# 4
For Sm2TlZn, a structure optimized by DFT (GGA-PBE) gives the theoretical powder X-ray diffraction pattern in this record (Cu Kα).

Most intense lines, 2θ = 10–90°, by intensity:
d_spacing  I/Imax
2.671  100.0
1.542  37.7
1.889  18.2
1.194  16.3
1.335  11.6
4.362  11.3
2.278  6.5
1.090  4.3
1.733  2.9
1.277  2.3

Structure:
```
data_Sm2TlZn
_chemical_formula_sum 'Sm2 Tl1 Zn1'
_cell_length_a 5.3419
_cell_length_b 5.3419
_cell_length_c 5.3419
_cell_angle_alpha 60.00
_cell_angle_beta 60.00
_cell_angle_gamma 60.00
_space_group_name_H-M_alt 'P 1'
_space_group_IT_number 1
loop_
_space_group_symop_operation_xyz
'x,y,z'
loop_
_atom_site_label
_atom_site_fract_x
_atom_site_fract_y
_atom_site_fract_z
Sm1 0.2500 0.2500 0.2500
Sm2 0.7500 0.7500 0.7500
Tl1 0.0000 0.0000 0.0000
Zn1 0.5000 0.5000 0.5000
```

# 5
For TiZn3, a structure optimized by DFT (GGA-PBE) gives the theoretical powder X-ray diffraction pattern in this record (Cu Kα).

Most intense lines, 2θ = 10–90°, by intensity:
d_spacing  I/Imax
2.129  100.0
2.441  25.2
2.175  23.8
1.183  17.5
1.409  16.2
1.247  15.7
1.624  13.5
1.175  12.9
1.221  2.4
3.248  2.2

Structure:
```
data_TiZn3
_chemical_formula_sum 'Ti2 Zn6'
_cell_length_a 5.6378
_cell_length_b 5.6378
_cell_length_c 4.3509
_cell_angle_alpha 90.00
_cell_angle_beta 90.00
_cell_angle_gamma 120.00
_space_group_name_H-M_alt 'P 1'
_space_group_IT_number 1
loop_
_space_group_symop_operation_xyz
'x,y,z'
loop_
_atom_site_label
_atom_site_fract_x
_atom_site_fract_y
_atom_site_fract_z
Ti1 0.3333 0.6667 0.2500
Ti2 0.6667 0.3333 0.7500
Zn1 0.1650 0.3299 0.7500
Zn2 0.1650 0.8350 0.7500
Zn3 0.3299 0.1650 0.2500
Zn4 0.6701 0.8350 0.7500
Zn5 0.8350 0.1650 0.2500
Zn6 0.8350 0.6701 0.2500
```

# 6
For B2O3, a structure optimized by DFT (GGA-PBE) gives the theoretical powder X-ray diffraction pattern in this record (Cu Kα).

Most intense lines, 2θ = 10–90°, by intensity:
d_spacing  I/Imax
2.893  100.0
3.938  78.1
2.085  47.8
4.017  47.3
2.006  44.6
1.809  37.0
2.288  32.9
2.037  28.0
2.335  20.4
1.969  12.8

Structure:
```
data_B2O3
_chemical_formula_sum 'B4 O6'
_cell_length_a 4.5779
_cell_length_b 4.5779
_cell_length_c 4.1695
_cell_angle_alpha 90.00
_cell_angle_beta 90.00
_cell_angle_gamma 61.33
_space_group_name_H-M_alt 'P 1'
_space_group_IT_number 1
loop_
_space_group_symop_operation_xyz
'x,y,z'
loop_
_atom_site_label
_atom_site_fract_x
_atom_site_fract_y
_atom_site_fract_z
B1 0.0072 0.3236 0.0000
B2 0.3236 0.0072 0.5000
B3 0.6764 0.9928 0.0000
B4 0.9928 0.6764 0.5000
O1 0.0820 0.3402 0.3494
O2 0.2406 0.7594 0.4362
O3 0.3402 0.0820 0.8494
O4 0.6598 0.9180 0.3494
O5 0.7594 0.2406 0.9362
O6 0.9180 0.6598 0.8494
```